No. 1
Starting from a PBE-relaxed structure, the X-ray diffraction stick pattern of Cu3GeF8 was calculated for Cu Kα, 1.54184 Å.
Lines closer than 0.1° are merged.

Principal peaks in the range 10° ≤ 2θ ≤ 90°, low angle first:
2theta, I_rel, h k l
18.8, 100, 1 1 0
23.5, 73, 1 1 1
33.4, 17, 0 2 2
34.0, 41, 1 1 2
34.8, 21, 1 3 1
36.0, 41, 0 4 0
44.3, 57, 2 0 2
48.7, 12, 1 5 0
57.2, 13, 1 5 2
58.4, 32, 2 4 2

Structural model:
Lattice parameters (Å, degrees): 5.343 9.972 6.355 90.00 90.00 90.00
Space group C222 (No. 21)
Inequivalent atoms, fractional coordinates:
Cu 0.000 0.000 0.000 (multiplicity 2)
Cu 0.250 0.250 0.770 (multiplicity 4)
Ge 0.000 0.000 0.500 (multiplicity 2)
F 0.000 0.188 0.500 (multiplicity 4)
F 0.000 0.197 0.000 (multiplicity 4)
F 0.240 0.008 0.704 (multiplicity 8)

No. 2
Starting from a PBE-relaxed structure, the X-ray diffraction stick pattern of Cu2HF6 was calculated for Cu Kα, 1.54184 Å.
Lines closer than 0.1° are merged.

Principal peaks in the range 10° ≤ 2θ ≤ 90°, low angle first:
2theta, I_rel, h k l
12.1, 45, 0 0 1
14.9, 22, 0 1 0
19.2, 40, 1 0 1
19.5, 37, 0 1 -1
22.6, 100, 1 0 -1
29.7, 25, 1 1 2
30.1, 41, 0 2 0
47.1, 27, 2 1 3
47.9, 19, 0 3 -1
51.3, 21, 1 1 4

Structural model:
Lattice parameters (Å, degrees): 5.353 6.015 7.415 87.17 79.84 80.66
Space group P-1 (No. 2)
Inequivalent atoms, fractional coordinates:
Cu 0.157 0.324 0.109 (multiplicity 2)
Cu 0.247 0.744 0.263 (multiplicity 2)
H 0.252 0.257 0.714 (multiplicity 2)
F 0.093 0.043 0.203 (multiplicity 2)
F 0.119 0.313 0.635 (multiplicity 2)
F 0.150 0.641 0.018 (multiplicity 2)
F 0.319 0.795 0.487 (multiplicity 2)
F 0.355 0.415 0.269 (multiplicity 2)
F 0.407 0.220 0.856 (multiplicity 2)

No. 3
Starting from a PBE-relaxed structure, the X-ray diffraction stick pattern of CuH2F4 was calculated for Cu Kα, 1.54184 Å.
Lines closer than 0.1° are merged.

Principal peaks in the range 10° ≤ 2θ ≤ 90°, low angle first:
2theta, I_rel, h k l
17.2, 73, 0 0 2
23.5, 72, 1 1 0
29.2, 100, 1 1 2
32.6, 17, 0 2 0
34.8, 68, 0 0 4
38.6, 21, 2 0 2
42.4, 30, 1 1 4
51.4, 74, 2 2 2
56.1, 13, 1 3 2
74.6, 19, 2 2 6

Structural model:
Lattice parameters (Å, degrees): 5.238 5.492 10.308 90.00 90.00 90.00
Space group Cccm (No. 66)
Inequivalent atoms, fractional coordinates:
Cu 0.000 0.000 0.250 (multiplicity 4)
H 0.114 0.369 0.000 (multiplicity 8)
F 0.244 0.490 0.000 (multiplicity 8)
F 0.250 0.250 0.243 (multiplicity 8)

No. 4
Starting from a PBE-relaxed structure, the X-ray diffraction stick pattern of CuH12N2O2F4 was calculated for Cu Kα, 1.54184 Å.
Lines closer than 0.1° are merged.

Principal peaks in the range 10° ≤ 2θ ≤ 90°, low angle first:
2theta, I_rel, h k l
16.1, 100, 1 1 -1
16.9, 39, 2 0 0
19.6, 25, 0 2 0
20.3, 54, 1 1 1
26.2, 65, 3 1 -1
34.1, 36, 4 0 0
38.8, 24, 1 1 -3
41.6, 31, 5 1 -1
42.1, 22, 0 4 1
52.0, 19, 4 4 -1

Structural model:
Lattice parameters (Å, degrees): 11.201 9.050 7.270 90.00 110.33 90.00
Space group C2/c (No. 15)
Inequivalent atoms, fractional coordinates:
Cu 0.000 0.205 0.250 (multiplicity 4)
H 0.035 0.126 0.608 (multiplicity 8)
H 0.110 0.486 0.922 (multiplicity 8)
H 0.145 0.245 0.612 (multiplicity 8)
H 0.184 0.358 0.103 (multiplicity 8)
H 0.243 0.397 0.923 (multiplicity 8)
H 0.249 0.472 0.600 (multiplicity 8)
N 0.197 0.442 0.014 (multiplicity 8)
O 0.055 0.213 0.538 (multiplicity 8)
F 0.000 0.011 0.750 (multiplicity 4)
F 0.000 0.420 0.250 (multiplicity 4)
F 0.221 0.196 0.257 (multiplicity 8)

No. 5
Starting from a PBE-relaxed structure, the X-ray diffraction stick pattern of CuP2H12N2O8F2 was calculated for Cu Kα, 1.54184 Å.
Lines closer than 0.1° are merged.

Principal peaks in the range 10° ≤ 2θ ≤ 90°, low angle first:
2theta, I_rel, h k l
12.9, 47, 0 0 1
14.0, 23, 2 0 0
15.0, 100, 2 0 -1
23.9, 45, 1 1 1
24.3, 24, 2 0 -2
27.1, 73, 3 1 0
29.5, 31, 1 1 -2
33.5, 17, 3 1 1
33.9, 23, 0 2 0
39.6, 18, 5 1 0

Structural model:
Lattice parameters (Å, degrees): 13.654 5.282 7.428 90.00 112.41 90.00
Space group C2/m (No. 12)
Inequivalent atoms, fractional coordinates:
Cu 0.000 0.000 0.000 (multiplicity 2)
P 0.133 0.500 0.214 (multiplicity 4)
H 0.032 0.151 0.352 (multiplicity 8)
H 0.135 0.500 0.612 (multiplicity 4)
H 0.144 0.344 0.820 (multiplicity 8)
H 0.249 0.000 0.186 (multiplicity 4)
N 0.169 0.500 0.765 (multiplicity 4)
O 0.011 0.000 0.707 (multiplicity 4)
O 0.076 0.500 0.355 (multiplicity 4)
O 0.121 0.260 0.092 (multiplicity 8)
F 0.242 0.000 0.648 (multiplicity 4)

No. 6
Starting from a PBE-relaxed structure, the X-ray diffraction stick pattern of Cu3H2O2F4 was calculated for Cu Kα, 1.54184 Å.
Lines closer than 0.1° are merged.

Principal peaks in the range 10° ≤ 2θ ≤ 90°, low angle first:
2theta, I_rel, h k l
21.0, 100, 0 1 1
24.2, 20, 1 1 -1
31.7, 50, 1 1 1
32.0, 20, 2 0 -2
32.8, 24, 1 1 -3
36.4, 25, 1 0 -4
38.2, 38, 2 1 -1
49.5, 19, 2 2 -2
51.6, 20, 1 2 2
52.7, 15, 1 2 -4

Structural model:
Lattice parameters (Å, degrees): 5.593 4.894 9.911 90.00 121.45 90.00
Space group P2_1/c (No. 14)
Inequivalent atoms, fractional coordinates:
Cu 0.000 0.000 0.000 (multiplicity 2)
Cu 0.339 0.055 0.826 (multiplicity 4)
H 0.340 0.142 0.553 (multiplicity 4)
O 0.333 0.163 0.018 (multiplicity 4)
F 0.041 0.194 0.186 (multiplicity 4)
F 0.331 0.619 0.147 (multiplicity 4)

No. 7
Starting from a PBE-relaxed structure, the X-ray diffraction stick pattern of CuH2OF2 was calculated for Cu Kα, 1.54184 Å.
Lines closer than 0.1° are merged.

Principal peaks in the range 10° ≤ 2θ ≤ 90°, low angle first:
2theta, I_rel, h k l
19.4, 100, 1 1 0
22.5, 31, 2 0 0
31.8, 18, 0 2 0
35.7, 11, 0 2 1
37.7, 28, 1 1 2
39.3, 9, 2 2 0
39.5, 14, 2 0 2
50.3, 31, 3 1 2
51.6, 16, 2 2 2
60.6, 11, 3 3 0

Structural model:
Lattice parameters (Å, degrees): 7.917 5.626 5.581 90.00 90.00 90.00
Space group Cmc2_1 (No. 36)
Inequivalent atoms, fractional coordinates:
Cu 0.000 0.000 0.000 (multiplicity 4)
H 0.102 0.444 0.248 (multiplicity 8)
O 0.000 0.345 0.248 (multiplicity 4)
F 0.161 0.091 0.750 (multiplicity 8)